Structure and computed powder X-ray diffraction pattern of SrMo2P4O16 (a crystal structure in Alexandria, relaxed with GGA+U; Cu Kα, 1.54184 Å).
Peak positions follow from Bragg's law for the DFT cell and can differ from measured ones.

The 10 most intense peaks (15 to 90 degrees two-theta), by angle:
18.12°, d 4.896, rel. 100; 18.35°, d 4.834, rel. 41; 21.49°, d 4.136, rel. 68; 24.88°, d 3.578, rel. 37; 25.25°, d 3.527, rel. 59; 26.70°, d 3.339, rel. 63; 26.81°, d 3.326, rel. 58; 29.91°, d 2.987, rel. 64; 30.74°, d 2.909, rel. 59; 41.69°, d 2.166, rel. 31

Atomic structure:
```
data_SrMo2P4O16
_symmetry_space_group_name_H-M 'P 1 21/c 1'
_symmetry_Int_Tables_number 14
_cell_length_a 8.043
_cell_length_b 7.849
_cell_length_c 12.497
_cell_angle_alpha 90.00
_cell_angle_beta 128.85
_cell_angle_gamma 90.00
loop_
_symmetry_equiv_pos_as_xyz
'x,y,z'
'-x,-y,-z'
'-x,y+1/2,-z+1/2'
'x,-y+1/2,z+1/2'
loop_
_atom_site_label
_atom_site_fract_x
_atom_site_fract_y
_atom_site_fract_z
_atom_site_occupancy
Sr1 0.000 0.000 0.000 1
Mo1 0.388 0.220 0.836 1
P1 0.036 0.616 0.211 1
P2 0.345 0.100 0.563 1
O1 0.085 0.150 0.231 1
O2 0.095 0.729 0.672 1
O3 0.137 0.007 0.433 1
O4 0.217 0.010 0.807 1
O5 0.279 0.207 0.635 1
O6 0.370 0.620 0.586 1
O7 0.427 0.222 0.510 1
O8 0.499 0.039 0.341 1
```